Structure and simulated powder XRD pattern of AcGa2GeOs2 (a GGA-PBE-relaxed structure; Cu Kα).

The 8 most intense peaks (10° ≤ 2θ ≤ 90°), in order of rising 2θ:
2theta, d_spacing, I_rel, index
14.90, 5.945, 27, 0 0 1
30.06, 2.972, 27, 0 0 2
31.28, 2.860, 100, 1 1 1
35.94, 2.499, 50, 1 0 2
39.06, 2.306, 67, 2 0 0
50.06, 1.822, 30, 2 0 2
54.13, 1.694, 51, 1 1 3
65.94, 1.417, 25, 3 1 1

Crystal structure
a = 4.613 Å, b = 4.613 Å, c = 5.945 Å
α = 90.00°, β = 90.00°, γ = 90.00°
Positions (direct):
1 Ac 0.000 0.000 0.000
2 Ga 0.500 0.500 0.243
3 Ga 0.500 0.500 0.757
4 Ge 0.000 0.000 0.500
5 Os 0.000 0.500 0.500
6 Os 0.500 0.000 0.500